Simulated X-ray powder pattern
Compound: Mg3ZnPd6
Radiation: λ = 1.5418 Å (Cu Kα)
Structure: the GGA-PBE geometry in Alexandria

Structure:
abc: 7.608 4.515 9.543
angles: 90.00 108.27 90.00
Space group P2_1/m (No. 11)
Asymmetric unit:
1 Mg 0.040 0.250 0.390 [2 per cell]
2 Mg 0.142 0.750 0.209 [2 per cell]
3 Mg 0.275 0.250 0.991 [2 per cell]
4 Zn 0.451 0.250 0.594 [2 per cell]
5 Pd 0.041 0.750 0.912 [2 per cell]
6 Pd 0.158 0.250 0.687 [2 per cell]
7 Pd 0.257 0.750 0.505 [2 per cell]
8 Pd 0.348 0.750 0.815 [2 per cell]
9 Pd 0.353 0.250 0.304 [2 per cell]
10 Pd 0.436 0.750 0.123 [2 per cell]

Peak list (8 most intense, 2θ = 10–90°, in order of rising 2θ)
- hkl 1 1 -2, 27.90 deg, d = 3.198 Å, rel. 40
- hkl 2 0 -4, 39.79 deg, d = 2.265 Å, rel. 49
- hkl 0 2 0, 39.93 deg, d = 2.258 Å, rel. 58
- hkl 3 1 -1, 40.85 deg, d = 2.209 Å, rel. 100
- hkl 1 1 3, 41.02 deg, d = 2.201 Å, rel. 100
- hkl 2 2 -4, 57.64 deg, d = 1.599 Å, rel. 33
- hkl 3 3 -1, 73.13 deg, d = 1.294 Å, rel. 18
- hkl 1 3 3, 73.22 deg, d = 1.293 Å, rel. 30



Simulated X-ray powder pattern
Compound: MgZn5Pd
Radiation: λ = 1.5418 Å (Cu Kα)
Structure: the GGA-PBE geometry in Alexandria

Structure:
abc: 3.751 3.751 8.424
angles: 90.00 90.00 90.00
Space group P4/mmm (No. 123)
Asymmetric unit:
1 Mg 0.000 0.000 0.000 [1 per cell]
2 Zn 0.000 0.000 0.500 [1 per cell]
3 Zn 0.000 0.500 0.256 [4 per cell]
4 Pd 0.500 0.500 0.500 [1 per cell]

Peak list (8 most intense, 2θ = 10–90°, in order of rising 2θ)
- hkl 0 0 1, 10.50 deg, d = 8.424 Å, rel. 70
- hkl 1 1 1, 35.48 deg, d = 2.530 Å, rel. 12
- hkl 1 1 2, 40.18 deg, d = 2.244 Å, rel. 100
- hkl 0 0 4, 42.95 deg, d = 2.106 Å, rel. 20
- hkl 2 0 0, 48.54 deg, d = 1.876 Å, rel. 28
- hkl 2 0 4, 66.79 deg, d = 1.401 Å, rel. 20
- hkl 1 1 6, 76.82 deg, d = 1.241 Å, rel. 13
- hkl 3 1 2, 84.94 deg, d = 1.142 Å, rel. 21



Simulated X-ray powder pattern
Compound: Mg3Zn2Pd3
Radiation: λ = 1.5418 Å (Cu Kα)
Structure: the GGA-PBE geometry in Alexandria

Structure:
abc: 3.597 4.142 16.988
angles: 90.00 90.00 90.00
Space group Immm (No. 71)
Asymmetric unit:
1 Mg 0.000 0.000 0.000 [2 per cell]
2 Mg 0.000 0.500 0.124 [4 per cell]
3 Zn 0.000 0.000 0.249 [4 per cell]
4 Pd 0.000 0.000 0.500 [2 per cell]
5 Pd 0.000 0.500 0.367 [4 per cell]

Peak list (8 most intense, 2θ = 10–90°, in order of rising 2θ)
- hkl 1 0 1, 25.31 deg, d = 3.519 Å, rel. 20
- hkl 0 1 3, 26.66 deg, d = 3.343 Å, rel. 24
- hkl 1 1 4, 39.38 deg, d = 2.288 Å, rel. 100
- hkl 0 0 8, 42.57 deg, d = 2.124 Å, rel. 19
- hkl 0 2 0, 43.71 deg, d = 2.071 Å, rel. 19
- hkl 0 2 8, 62.65 deg, d = 1.483 Å, rel. 14
- hkl 1 1 12, 75.77 deg, d = 1.255 Å, rel. 12
- hkl 1 3 4, 77.37 deg, d = 1.233 Å, rel. 13